Entry 1:
Computed powder XRD pattern
Compound: LiFe4Ni15
Radiation: λ = 1.5418 Å (Cu Kα)
Structure: a GGA-PBE-relaxed structure

Largest 8 diffraction maxima, by intensity, 2θ from 10° to 80°:
- d = 2.042 Å, 2θ 44.36, intensity 100, hkl 1 1 5
- d = 1.777 Å, 2θ 51.44, intensity 32, hkl 2 0 0
- d = 1.248 Å, 2θ 76.31, intensity 18, hkl 2 0 10
- d = 1.753 Å, 2θ 52.18, intensity 15, hkl 0 0 10
- d = 1.256 Å, 2θ 75.71, intensity 9, hkl 2 2 0
- d = 8.765 Å, 2θ 10.09, intensity 2, hkl 0 0 2
- d = 3.553 Å, 2θ 25.06, intensity 1, hkl 1 0 0
- d = 2.496 Å, 2θ 35.99, intensity 1, hkl 1 0 5

Atomic structure:
```
data_LiFe4Ni15
_chemical_formula_sum 'Li1 Fe4 Ni15'
_cell_length_a 3.5532
_cell_length_b 3.5532
_cell_length_c 17.5308
_cell_angle_alpha 90.00
_cell_angle_beta 90.00
_cell_angle_gamma 90.00
_space_group_name_H-M_alt 'P 4/m m m'
_space_group_IT_number 123
_space_group_name_Hall '-P 4 2'
loop_
_atom_site_label
_atom_site_type_symbol
_atom_site_fract_x
_atom_site_fract_y
_atom_site_fract_z
Li1 Li 0.0000 0.0000 0.0000
Fe1 Fe 0.0000 0.0000 0.1966
Fe2 Fe 0.0000 0.0000 0.3993
Ni1 Ni 0.0000 0.5000 0.1001
Ni2 Ni 0.0000 0.5000 0.2999
Ni3 Ni 0.0000 0.5000 0.5000
Ni4 Ni 0.5000 0.5000 0.0000
Ni5 Ni 0.5000 0.5000 0.2003
Ni6 Ni 0.5000 0.5000 0.3998
```

Entry 2:
Computed powder XRD pattern
Compound: LiFeNi2
Radiation: λ = 1.5418 Å (Cu Kα)
Structure: a GGA-PBE-relaxed structure

Largest 8 diffraction maxima, by intensity, 2θ from 10° to 80°:
- d = 2.073 Å, 2θ 43.67, intensity 100, hkl 0 1 2
- d = 2.032 Å, 2θ 44.59, intensity 94, hkl 1 1 0
- d = 1.800 Å, 2θ 50.72, intensity 63, hkl 1 0 2
- d = 5.170 Å, 2θ 17.15, intensity 48, hkl 0 0 1
- d = 1.249 Å, 2θ 76.23, intensity 34, hkl 1 2 2
- d = 1.734 Å, 2θ 52.79, intensity 28, hkl 0 2 0
- d = 3.469 Å, 2θ 25.68, intensity 25, hkl 0 1 0
- d = 2.880 Å, 2θ 31.05, intensity 19, hkl 0 1 1

Atomic structure:
```
data_LiFeNi2
_chemical_formula_sum 'Li1 Fe1 Ni2'
_cell_length_a 2.5078
_cell_length_b 3.4685
_cell_length_c 5.1704
_cell_angle_alpha 90.00
_cell_angle_beta 90.00
_cell_angle_gamma 90.00
_space_group_name_H-M_alt 'P m m m'
_space_group_IT_number 47
_space_group_name_Hall '-P 2 2'
loop_
_atom_site_label
_atom_site_type_symbol
_atom_site_fract_x
_atom_site_fract_y
_atom_site_fract_z
Li1 Li 0.0000 0.0000 0.0000
Fe1 Fe 0.0000 0.0000 0.5000
Ni1 Ni 0.5000 0.5000 0.2520
```